# 1
Starting from a cell relaxed with GGA-PBE, the powder diffractogram of NdAl2AgAu2 was computed for Cu Kα, 1.54184 Å.
Peak positions follow from Bragg's law for the DFT cell and can differ from measured ones.

Cell and atoms:
Unit cell a=4.4707 b=4.4707 c=6.9972 alpha=90.00 beta=90.00 gamma=120.00
Space group P-3m1 (No. 164)
Unique sites:
Nd 0.0000 0.0000 0.0000 x1
Al 0.3333 0.6667 0.6744 x2
Ag 0.0000 0.0000 0.5000 x1
Au 0.3333 0.6667 0.2714 x2

Most intense lines, 2θ from 5° to 70°, by angle:
two_theta	d_spacing	I_rel	index
26.31	3.388	85.3	0 1 1
34.55	2.596	100.0	1 0 2
40.35	2.235	75.0	1 1 0
45.40	1.998	21.8	0 1 3
54.15	1.694	27.5	0 2 2
69.64	1.350	25.8	2 1 2

=====

# 2
Starting from a cell relaxed with GGA-PBE, the powder diffractogram of NpAl2AgAu2 was computed for Cu Kα, 1.54184 Å.
Peak positions follow from Bragg's law for the DFT cell and can differ from measured ones.

Cell and atoms:
Unit cell a=4.4597 b=4.4597 c=6.8500 alpha=90.00 beta=90.00 gamma=120.00
Space group P-3m1 (No. 164)
Unique sites:
Np 0.0000 0.0000 0.0000 x1
Al 0.3333 0.6667 0.6801 x2
Ag 0.0000 0.0000 0.5000 x1
Au 0.3333 0.6667 0.2627 x2

Most intense lines, 2θ from 5° to 70°, by angle:
two_theta	d_spacing	I_rel	index
26.49	3.364	71.9	0 1 1
35.02	2.563	100.0	1 0 2
40.45	2.230	68.6	1 1 0
46.19	1.966	16.0	1 0 3
54.55	1.682	28.3	0 2 2
69.17	1.358	22.9	1 1 4

=====

# 3
Starting from a cell relaxed with GGA-PBE, the powder diffractogram of Pr2Al4Ag3Au was computed for Cu Kα, 1.54184 Å.
Peak positions follow from Bragg's law for the DFT cell and can differ from measured ones.

Cell and atoms:
Unit cell a=4.433 b=4.433 c=10.719 alpha=90.00 beta=90.00 gamma=90.00
Space group P-4m2 (No. 115)
Unique sites:
Pr 0.000 0.500 0.248 x2
Al 0.000 0.000 0.500 x1
Al 0.000 0.500 0.869 x2
Al 0.500 0.500 0.500 x1
Ag 0.000 0.000 0.000 x1
Ag 0.000 0.500 0.632 x2
Au 0.500 0.500 0.000 x1

Most intense lines, 2θ from 5° to 70°, by angle:
two_theta	d_spacing	I_rel	index
8.25	10.719	25.0	0 0 1
29.70	3.008	39.7	1 1 1
32.18	2.782	51.3	1 0 3
33.11	2.706	100.0	1 1 2
40.71	2.216	53.8	2 0 0
52.81	1.733	24.9	2 1 3

=====

# 4
Starting from a cell relaxed with GGA-PBE, the powder diffractogram of Sm2Al4AgAu3 was computed for Cu Kα, 1.54184 Å.
Peak positions follow from Bragg's law for the DFT cell and can differ from measured ones.

Cell and atoms:
Unit cell a=4.373 b=4.373 c=10.609 alpha=90.00 beta=90.00 gamma=90.00
Space group P-4m2 (No. 115)
Unique sites:
Sm 0.000 0.500 0.250 x2
Al 0.000 0.000 0.000 x1
Al 0.000 0.500 0.634 x2
Al 0.500 0.500 0.000 x1
Ag 0.000 0.000 0.500 x1
Au 0.000 0.500 0.869 x2
Au 0.500 0.500 0.500 x1

Most intense lines, 2θ from 5° to 70°, by angle:
two_theta	d_spacing	I_rel	index
26.41	3.374	45.3	1 0 2
30.10	2.969	64.3	1 1 1
32.56	2.750	74.6	1 0 3
33.55	2.671	100.0	1 1 2
41.29	2.186	71.5	2 0 0
53.55	1.711	36.9	2 1 3

=====

# 5
Starting from a cell relaxed with GGA-PBE, the powder diffractogram of SrAl2Ag2Au was computed for Cu Kα, 1.54184 Å.
Peak positions follow from Bragg's law for the DFT cell and can differ from measured ones.

Cell and atoms:
Unit cell a=4.873 b=4.873 c=6.089 alpha=90.00 beta=90.00 gamma=90.00
Space group P4/mmm (No. 123)
Unique sites:
Sr 0.000 0.000 0.000 x1
Al 0.000 0.500 0.500 x2
Ag 0.500 0.500 0.236 x2
Au 0.000 0.000 0.500 x1

Most intense lines, 2θ from 5° to 70°, by angle:
two_theta	d_spacing	I_rel	index
23.38	3.805	17.2	1 0 1
25.85	3.446	86.5	1 1 0
34.74	2.582	100.0	1 0 2
36.89	2.437	52.6	2 0 0
51.57	1.772	63.8	2 1 2
53.16	1.723	18.0	2 2 0

=====

# 6
Starting from a cell relaxed with GGA-PBE, the powder diffractogram of Al3Tl2AgAu12 was computed for Cu Kα, 1.54184 Å.
Peak positions follow from Bragg's law for the DFT cell and can differ from measured ones.

Cell and atoms:
Unit cell a=8.6334 b=8.6334 c=18.7334 alpha=90.00 beta=90.00 gamma=120.00
Space group R-3m (No. 166, hexagonal axes)
Unique sites:
Al 0.0000 0.5000 0.0000 x9
Tl 0.0000 0.0000 0.1078 x6
Ag 0.0000 0.0000 0.5000 x3
Au 0.0167 0.5084 0.3736 x18
Au 0.0213 0.5107 0.8662 x18

Most intense lines, 2θ from 5° to 70°, by angle:
two_theta	d_spacing	I_rel	index
30.60	2.922	100.0	0 2 4
41.85	2.158	57.9	2 2 0
45.72	1.984	39.4	2 0 8
52.73	1.736	20.7	4 0 4
63.70	1.461	13.8	0 4 8
69.49	1.353	17.0	2 4 4

=====

# 7
Starting from a cell relaxed with GGA-PBE, the powder diffractogram of BaAl2Ag2 was computed for Cu Kα, 1.54184 Å.
Peak positions follow from Bragg's law for the DFT cell and can differ from measured ones.

Cell and atoms:
Unit cell a=6.059 b=6.421 c=7.459 alpha=67.34 beta=83.44 gamma=70.02
Space group P-1 (No. 2)
Unique sites:
Ba 0.247 0.119 0.275 x2
Al 0.138 0.237 0.771 x2
Al 0.382 0.507 0.797 x2
Ag 0.228 0.786 0.000 x2
Ag 0.258 0.531 0.448 x2

Most intense lines, 2θ from 5° to 70°, by angle:
two_theta	d_spacing	I_rel	index
20.04	4.431	48.4	1 0 -1
29.63	3.015	100.0	0 2 1
31.43	2.847	96.3	2 0 0
31.90	2.806	65.7	1 2 2
35.24	2.547	65.0	2 2 1
36.43	2.466	51.1	0 1 3

=====

# 8
Starting from a cell relaxed with GGA-PBE, the powder diffractogram of Ba3Al8Ag3 was computed for Cu Kα, 1.54184 Å.
Peak positions follow from Bragg's law for the DFT cell and can differ from measured ones.

Cell and atoms:
Unit cell a=17.365 b=4.583 c=11.401 alpha=90.00 beta=130.86 gamma=90.00
Space group C2/m (No. 12)
Unique sites:
Ba 0.000 0.000 0.000 x2
Ba 0.210 0.500 0.710 x4
Al 0.001 0.500 0.314 x4
Al 0.111 0.000 0.819 x4
Al 0.117 0.000 0.404 x4
Al 0.174 0.500 0.348 x4
Ag 0.000 0.000 0.500 x2
Ag 0.179 0.500 0.984 x4

Most intense lines, 2θ from 5° to 70°, by angle:
two_theta	d_spacing	I_rel	index
10.28	8.602	65.1	2 0 -1
28.19	3.166	100.0	3 1 0
30.56	2.925	73.3	3 1 -3
31.39	2.850	55.1	4 0 -4
33.55	2.671	63.8	5 1 -3
39.32	2.291	53.6	0 2 0

=====

# 9
Starting from a cell relaxed with GGA-PBE, the powder diffractogram of Ba2Al5Ag5 was computed for Cu Kα, 1.54184 Å.
Peak positions follow from Bragg's law for the DFT cell and can differ from measured ones.

Cell and atoms:
Unit cell a=5.575 b=11.176 c=8.727 alpha=90.00 beta=90.00 gamma=90.00
Space group Amm2 (No. 38)
Unique sites:
Ba 0.000 0.000 0.000 x2
Ba 0.500 0.000 0.341 x2
Al 0.000 0.000 0.598 x2
Al 0.249 0.204 0.685 x8
Ag 0.000 0.191 0.407 x4
Ag 0.500 0.000 0.737 x2
Ag 0.500 0.199 0.959 x4

Most intense lines, 2θ from 5° to 70°, by angle:
two_theta	d_spacing	I_rel	index
20.35	4.363	17.4	0 0 2
30.59	2.922	100.0	1 3 1
32.08	2.790	35.8	2 0 0
38.31	2.349	18.0	2 0 2
41.69	2.166	19.5	2 2 2
42.64	2.120	18.4	1 3 3

=====

# 10
Starting from a cell relaxed with GGA-PBE, the powder diffractogram of Ba3Al4Ag was computed for Cu Kα, 1.54184 Å.
Peak positions follow from Bragg's law for the DFT cell and can differ from measured ones.

Cell and atoms:
Unit cell a=6.153 b=12.889 c=6.528 alpha=90.00 beta=90.00 gamma=90.00
Space group Pmmn (No. 59, origin choice 2)
Unique sites:
Ba 0.250 0.005 0.190 x4
Ba 0.250 0.750 0.528 x2
Al 0.006 0.250 0.968 x4
Al 0.250 0.142 0.690 x4
Ag 0.250 0.250 0.318 x2

Most intense lines, 2θ from 5° to 70°, by angle:
two_theta	d_spacing	I_rel	index
19.35	4.586	70.2	0 2 1
19.83	4.478	100.0	1 0 1
27.68	3.222	78.5	0 4 0
29.02	3.077	68.8	2 0 0
34.29	2.615	92.9	1 4 1
35.12	2.555	69.6	2 2 1

=====

# 11
Starting from a cell relaxed with GGA-PBE, the powder diffractogram of BaAl4Ag9 was computed for Cu Kα, 1.54184 Å.
Peak positions follow from Bragg's law for the DFT cell and can differ from measured ones.

Cell and atoms:
Unit cell a=9.286 b=9.286 c=12.892 alpha=90.00 beta=90.00 gamma=90.00
Space group I4/mcm (No. 140)
Unique sites:
Ba 0.000 0.000 0.250 x4
Al 0.176 0.324 0.110 x16
Ag 0.000 0.500 0.000 x4
Ag 0.063 0.203 0.500 x16
Ag 0.131 0.369 0.311 x16

Most intense lines, 2θ from 5° to 70°, by angle:
two_theta	d_spacing	I_rel	index
22.49	3.953	26.2	2 1 1
27.68	3.223	26.2	0 0 4
33.54	2.672	100.0	3 1 2
40.67	2.219	23.9	4 1 1
40.85	2.209	44.9	3 2 3
41.22	2.190	56.1	2 1 5

=====

# 12
Starting from a cell relaxed with GGA-PBE, the powder diffractogram of Ba3Al8Ag3 was computed for Cu Kα, 1.54184 Å.
Peak positions follow from Bragg's law for the DFT cell and can differ from measured ones.

Cell and atoms:
Unit cell a=4.510 b=11.840 c=13.023 alpha=90.00 beta=90.00 gamma=90.00
Space group Immm (No. 71)
Unique sites:
Ba 0.000 0.000 0.000 x2
Ba 0.000 0.000 0.295 x4
Al 0.000 0.299 0.110 x8
Al 0.000 0.314 0.315 x8
Ag 0.000 0.225 0.500 x4
Ag 0.000 0.500 0.000 x2

Most intense lines, 2θ from 5° to 70°, by angle:
two_theta	d_spacing	I_rel	index
25.76	3.459	55.4	1 2 1
30.19	2.960	39.9	0 4 0
32.37	2.765	100.0	1 2 3
33.17	2.701	36.6	1 3 2
39.98	2.255	45.5	2 0 0
55.65	1.652	23.5	1 2 7